The following is a theoretical powder diffractogram of NaPr3. It was derived from a crystal structure in the Materials Project, relaxed with PBE, using a wavelength of 1.5418 Å.
Lines closer than 0.1° are merged.

Structural model:
```
NaPr3
1.0
5.2056 0.0000 0.0000
0.0000 5.2056 0.0000
0.0000 0.0000 5.2056
Na Pr
1 3
Cartesian
0.0000 0.0000 0.0000 Na
0.0000 2.6028 2.6028 Pr
2.6028 0.0000 2.6028 Pr
2.6028 2.6028 0.0000 Pr
```

The 8 most intense peaks (2θ = 5–70°), in order of rising 2θ:
| two_theta | d_spacing | I_rel |
| --- | --- | --- |
| 17.0 | 5.206 | 19 |
| 24.2 | 3.681 | 17 |
| 29.7 | 3.005 | 100 |
| 34.5 | 2.603 | 51 |
| 38.7 | 2.328 | 10 |
| 49.5 | 1.840 | 36 |
| 58.8 | 1.570 | 43 |
| 61.7 | 1.503 | 12 |

---

The following is a theoretical powder diffractogram of Eu2BrO2. It was derived from a crystal structure in the Materials Project, relaxed with PBE, using a wavelength of 1.5418 Å.
Lines closer than 0.1° are merged.

Structural model:
```
Eu2BrO2
1.0
6.4739 -2.0003 0.0000
6.4739 2.0003 0.0000
-5.2298 0.0000 8.2145
Eu Br O
4 2 4
Cartesian
-1.0230 0.0000 2.4904 Eu
-0.5427 0.0000 7.7848 Eu
8.2607 0.0000 0.4297 Eu
8.7410 0.0000 5.7241 Eu
2.3311 0.0000 3.0857 Br
5.3869 0.0000 5.1288 Br
-2.9314 0.0000 7.5949 O
1.5691 0.0000 6.6726 O
6.1489 0.0000 1.5419 O
10.6495 0.0000 0.6196 O
```

The 8 most intense peaks (2θ = 5–70°), in order of rising 2θ:
| two_theta | d_spacing | I_rel |
| --- | --- | --- |
| 27.9 | 3.200 | 71 |
| 29.1 | 3.069 | 100 |
| 32.7 | 2.738 | 21 |
| 33.3 | 2.693 | 55 |
| 33.6 | 2.666 | 19 |
| 45.3 | 2.000 | 21 |
| 47.2 | 1.926 | 31 |
| 54.1 | 1.697 | 21 |

---

The following is a theoretical powder diffractogram of Th7Se12. It was derived from a crystal structure in the Materials Project, relaxed with PBE, using a wavelength of 1.5418 Å.
Lines closer than 0.1° are merged.

Structural model:
```
Th7Se12
1.0
11.7231 0.0000 0.0000
-5.8616 10.1525 0.0000
0.0000 0.0000 4.1230
Th Se
7 12
Cartesian
0.0000 0.0000 0.0000 Th
-0.7536 4.4228 0.0000 Th
-1.6545 8.5938 0.0000 Th
3.5205 2.9068 2.0615 Th
2.4081 7.2885 0.0000 Th
7.4455 1.5954 2.0615 Th
6.6187 5.6503 2.0615 Th
-1.2170 2.2025 2.0615 Se
-1.9810 6.2771 2.0615 Se
-3.3456 10.1052 2.0615 Se
1.5117 2.5141 0.0000 Se
1.4159 5.2984 2.0615 Se
0.5650 8.7296 2.0615 Se
5.2048 1.4027 0.0000 Se
4.4739 4.9437 0.0000 Se
8.7900 0.0522 0.0000 Se
4.5626 7.9973 2.0615 Se
7.9060 3.8062 0.0000 Se
7.2829 7.5863 0.0000 Se
```

The 8 most intense peaks (2θ = 5–70°), in order of rising 2θ:
| two_theta | d_spacing | I_rel |
| --- | --- | --- |
| 23.2 | 3.837 | 100 |
| 27.9 | 3.200 | 33 |
| 31.9 | 2.810 | 99 |
| 34.3 | 2.616 | 56 |
| 37.7 | 2.389 | 40 |
| 38.7 | 2.325 | 48 |
| 40.7 | 2.215 | 68 |
| 61.4 | 1.509 | 42 |

---

Q: What is the formula in the first record?
A: NaPr3